# La10SmDy4
Simulated powder diffractogram, CuKα. Input: a DFT-relaxed cell (GGA-PBE, Alexandria).
Kinematic intensities with the Lorentz-polarization factor, no thermal factor.

Principal peaks in the range 2θ = 10–90°, low angle first:
| Position (°2θ) | Rel. int. |
| --- | --- |
| 27.20 | 463 |
| 29.94 | 410 |
| 30.80 | 1000 |
| 31.33 | 969 |
| 40.00 | 307 |
| 65.55 | 403 |

Structure:
```
data_La10SmDy4
_cell_length_a 9.122
_cell_length_b 9.122
_cell_length_c 9.122
_cell_angle_alpha 100.93
_cell_angle_beta 100.93
_cell_angle_gamma 128.38
_space_group_name_H-M_alt 'P 1'
_space_group_IT_number 1
_space_group_name_Hall 'P 1'
loop_
_atom_site_label
_atom_site_fract_x
_atom_site_fract_y
_atom_site_fract_z
La1 0.008 0.790 0.218
La2 0.210 0.428 0.218
La3 0.210 0.992 0.782
La4 0.250 0.750 0.500
La5 0.428 0.210 0.218
La6 0.572 0.790 0.782
La7 0.750 0.250 0.500
La8 0.790 0.008 0.218
La9 0.790 0.572 0.782
La10 0.992 0.210 0.782
Sm1 0.500 0.500 0.000
Dy1 0.271 0.271 0.541
Dy2 0.271 0.729 0.000
Dy3 0.729 0.271 0.000
Dy4 0.729 0.729 0.459
```